Starting from a cell relaxed with GGA-PBE, the XRD peak list of BeHgO was computed for Cu Ka.
Neutral-atom scattering factors, no anomalous dispersion.

Peak list (10 most intense, 2θ from 15° to 90°, by angle)
| two_theta | I (rel.) |
| --- | --- |
| 21.5 | 82 |
| 26.7 | 100 |
| 27.4 | 30 |
| 32.7 | 52 |
| 33.9 | 30 |
| 39.5 | 21 |
| 40.6 | 64 |
| 44.8 | 51 |
| 46.3 | 19 |
| 52.2 | 28 |

Structural model:
```
data_BeHgO
_chemical_formula_sum 'Be4 Hg4 O4'
_cell_length_a 4.5671
_cell_length_b 19.4980
_cell_length_c 2.7652
_cell_angle_alpha 90.00
_cell_angle_beta 90.00
_cell_angle_gamma 90.00
_symmetry_space_group_name_H-M 'P n n m'
_symmetry_Int_Tables_number 58
loop_
_symmetry_equiv_pos_as_xyz
'x,y,z'
'-x,-y,-z'
'-x,-y,z'
'x,y,-z'
'x+1/2,-y+1/2,-z+1/2'
'-x+1/2,y+1/2,z+1/2'
'-x+1/2,y+1/2,-z+1/2'
'x+1/2,-y+1/2,z+1/2'
loop_
_atom_site_label
_atom_site_fract_x
_atom_site_fract_y
_atom_site_fract_z
Be1 0.0954 0.2500 0.0000
Hg1 0.2496 0.0615 0.5000
O1 0.2433 0.7502 0.0000
```